No. 1
The following is a computed powder diffractogram of SrLiCuO2. It was derived from the GGA-PBE geometry in Alexandria, using Cu Kα (weighted mean of Kα1 and Kα2).

Principal peaks in the range 2θ from 10° to 90°, in order of rising 2θ:
2theta, I_rel
26.37, 62
26.93, 36
31.73, 100
32.22, 52
32.35, 90
36.89, 39
39.89, 34
47.03, 56
51.46, 38
54.29, 29

Crystal structure
abc: 5.6436 4.1212 5.9976
angles: 90.00 100.07 90.00
Positions (direct):
Sr 0.0000 0.2418 0.2500
Sr 0.0000 0.7582 0.7500
Li 0.5000 0.4795 0.7500
Li 0.5000 0.5205 0.2500
Cu 0.5000 0.0000 0.0000
Cu 0.5000 0.0000 0.5000
O 0.2550 0.2977 0.9472
O 0.2550 0.7023 0.4472
O 0.7450 0.2977 0.5528
O 0.7450 0.7023 0.0528

***

No. 2
The following is a computed powder diffractogram of KRbSbO3. It was derived from the GGA-PBE geometry in Alexandria, using Cu Kα (weighted mean of Kα1 and Kα2).

Principal peaks in the range 2θ from 10° to 90°, in order of rising 2θ:
2theta, I_rel
15.46, 84
27.82, 64
28.11, 87
29.63, 50
30.28, 100
37.76, 41
44.22, 31
47.98, 25
50.29, 24
52.13, 20

Crystal structure
abc: 7.1607 7.1607 6.0982
angles: 93.91 93.91 126.13
Positions (direct):
K 0.0838 0.9162 0.7500
K 0.9162 0.0838 0.2500
Rb 0.2550 0.7450 0.2500
Rb 0.7450 0.2550 0.7500
Sb 0.4446 0.5554 0.7500
Sb 0.5554 0.4446 0.2500
O 0.2736 0.3360 0.0065
O 0.2899 0.7101 0.7500
O 0.3360 0.2736 0.5065
O 0.6640 0.7264 0.4935
O 0.7101 0.2899 0.2500
O 0.7264 0.6640 0.9935